No. 1
This entry pairs a crystal structure of GdSnRh2 with its theoretical X-ray diffraction stick pattern. Radiation: Cu Kα. Structure: the PBE geometry in the Materials Project.
Kinematic intensities with the Lorentz-polarization factor, no thermal factor.

Most intense lines, 2θ from 5° to 70°, most intense first:
d_spacing  I/Imax
2.373  100
1.370  35
1.678  17
3.355  2
3.875  1
1.501  1
1.937  1
2.023  1

Crystal structure
```
GdSnRh2
1.0
0.000 3.355 3.355
3.355 0.000 3.355
3.355 3.355 0.000
Gd Sn Rh
1 1 2
Direct
0.000 0.000 0.000
0.500 0.500 0.500
0.250 0.250 0.250
0.750 0.750 0.750
```

---

No. 2
This entry pairs a crystal structure of TbGdRh2 with its theoretical X-ray diffraction stick pattern. Radiation: Cu Kα. Structure: the PBE geometry in the Materials Project.
Kinematic intensities with the Lorentz-polarization factor, no thermal factor.

Most intense lines, 2θ from 5° to 70°, most intense first:
d_spacing  I/Imax
2.442  100
1.410  35
1.726  17
3.453  4
1.544  2
1.993  1

Crystal structure
```
TbGdRh2
1.0
0.000 3.453 3.453
3.453 0.000 3.453
3.453 3.453 0.000
Tb Gd Rh
1 1 2
Direct
0.000 0.000 0.000
0.500 0.500 0.500
0.250 0.250 0.250
0.750 0.750 0.750
```

---

No. 3
This entry pairs a crystal structure of Gd2ZnRh with its theoretical X-ray diffraction stick pattern. Radiation: Cu Kα. Structure: the PBE geometry in the Materials Project.
Kinematic intensities with the Lorentz-polarization factor, no thermal factor.

Most intense lines, 2θ from 5° to 70°, most intense first:
d_spacing  I/Imax
2.508  100
1.448  36
1.773  18
3.547  9
1.586  4
2.048  3
4.095  1
2.139  1

Crystal structure
```
Gd2ZnRh
1.0
0.000 3.547 3.547
3.547 0.000 3.547
3.547 3.547 0.000
Gd Zn Rh
2 1 1
Direct
0.250 0.250 0.250
0.750 0.750 0.750
0.000 0.000 0.000
0.500 0.500 0.500
```

---

No. 4
This entry pairs a crystal structure of GdSi2Ru2 with its theoretical X-ray diffraction stick pattern. Radiation: Cu Kα. Structure: the PBE geometry in the Materials Project.
Kinematic intensities with the Lorentz-polarization factor, no thermal factor.

Most intense lines, 2θ from 5° to 70°, most intense first:
d_spacing  I/Imax
2.527  100
2.098  40
2.552  33
3.848  31
1.414  18
1.583  17
1.621  16
2.411  16
1.484  13
1.753  9

Crystal structure
```
GdSi2Ru2
1.0
-2.098 2.098 4.823
2.098 -2.098 4.823
2.098 2.098 -4.823
Gd Si Ru
1 2 2
Direct
0.000 0.000 0.000
0.367 0.367 0.000
0.633 0.633 0.000
0.250 0.750 0.500
0.750 0.250 0.500
```

---

No. 5
This entry pairs a crystal structure of GdSiRu with its theoretical X-ray diffraction stick pattern. Radiation: Cu Kα. Structure: the PBE geometry in the Materials Project.
Kinematic intensities with the Lorentz-polarization factor, no thermal factor.

Most intense lines, 2θ from 5° to 70°, most intense first:
d_spacing  I/Imax
2.219  100
2.725  97
3.564  95
2.114  75
2.607  68
1.527  34
1.642  34
1.818  30
2.208  27
1.495  24

Crystal structure
```
GdSiRu
1.0
4.229 0.000 0.000
0.000 4.229 0.000
0.000 0.000 6.623
Gd Si Ru
2 2 2
Direct
0.250 0.250 0.178
0.750 0.750 0.822
0.250 0.250 0.686
0.750 0.750 0.314
0.250 0.750 0.500
0.750 0.250 0.500
```

---

No. 6
This entry pairs a crystal structure of Gd2S3 with its theoretical X-ray diffraction stick pattern. Radiation: Cu Kα. Structure: the PBE geometry in the Materials Project.
Kinematic intensities with the Lorentz-polarization factor, no thermal factor.

Most intense lines, 2θ from 5° to 70°, most intense first:
d_spacing  I/Imax
3.434  100
2.660  95
2.248  59
1.881  38
1.650  30
1.365  29
1.793  25
5.381  10
1.717  8
1.536  8

Crystal structure
```
Gd2S3
1.0
-4.207 4.207 12.604
4.207 -4.207 12.604
4.207 4.207 -12.604
Gd S
16 24
Direct
0.048 0.151 0.621
0.166 0.166 0.000
0.177 0.780 0.879
0.220 0.099 0.397
0.256 0.625 0.131
0.375 0.506 0.631
0.494 0.125 0.869
0.530 0.427 0.379
0.573 0.952 0.103
0.584 0.084 0.500
0.702 0.823 0.603
0.834 0.834 0.000
0.849 0.470 0.897
0.875 0.744 0.369
0.901 0.298 0.121
0.916 0.416 0.500
0.002 0.756 0.890
0.074 0.462 0.246
0.172 0.926 0.388
0.188 0.439 0.093
0.189 0.438 0.593
0.212 0.324 0.746
0.216 0.828 0.754
0.244 0.134 0.247
0.346 0.095 0.907
0.404 0.811 0.249
0.506 0.252 0.390
0.534 0.788 0.112
0.538 0.784 0.612
0.561 0.654 0.749
0.562 0.155 0.751
0.578 0.466 0.254
0.676 0.422 0.888
0.748 0.138 0.253
0.845 0.596 0.407
0.862 0.116 0.610
0.866 0.112 0.110
0.884 0.494 0.747
0.888 0.998 0.753
0.905 0.812 0.251
```